Entry 1:
Starting from DFT lattice parameters and positions (GGA-PBE), the powder diffractogram of DyMg3Zn4 was simulated for Cu Kα (weighted mean of Kα1 and Kα2).
Kinematic intensities with the Lorentz-polarization factor, no thermal factor.

Crystal structure
Lattice parameters (Å, degrees): 4.633 4.633 7.138 90.00 90.00 90.00
Element x y z (fractional)
Dy 0.000 0.000 0.000
Mg 0.000 0.000 0.500
Mg 0.500 0.500 0.000
Mg 0.500 0.500 0.500
Zn 0.000 0.500 0.262
Zn 0.000 0.500 0.738
Zn 0.500 0.000 0.262
Zn 0.500 0.000 0.738

The 6 most intense peaks (2θ from 10° to 80°), in order of rising 2θ:
- 2θ 19.16, rel. 17
- 2θ 22.88, rel. 23
- 2θ 37.25, rel. 100
- 2θ 38.87, rel. 45
- 2θ 66.09, rel. 17
- 2θ 69.33, rel. 30


Entry 2:
Starting from DFT lattice parameters and positions (GGA-PBE), the powder diffractogram of DyMg3Zn3 was simulated for Cu Kα (weighted mean of Kα1 and Kα2).
Kinematic intensities with the Lorentz-polarization factor, no thermal factor.

Crystal structure
Lattice parameters (Å, degrees): 8.347 4.684 8.358 90.00 119.95 90.00
Element x y z (fractional)
Dy 0.167 0.250 0.333
Dy 0.833 0.750 0.667
Mg 0.254 0.250 0.985
Mg 0.269 0.750 0.754
Mg 0.485 0.750 0.231
Mg 0.515 0.250 0.769
Mg 0.731 0.250 0.246
Mg 0.746 0.750 0.015
Zn 0.023 0.250 0.604
Zn 0.104 0.750 0.080
Zn 0.419 0.750 0.523
Zn 0.581 0.250 0.477
Zn 0.896 0.250 0.920
Zn 0.977 0.750 0.396

The 6 most intense peaks (2θ from 10° to 80°), in order of rising 2θ:
- 2θ 12.23, rel. 69
- 2θ 31.24, rel. 30
- 2θ 32.75, rel. 24
- 2θ 38.10, rel. 100
- 2θ 38.44, rel. 23
- 2θ 69.31, rel. 19


Entry 3:
Starting from DFT lattice parameters and positions (GGA-PBE), the powder diffractogram of Dy6MgZn5 was simulated for Cu Kα (weighted mean of Kα1 and Kα2).
Kinematic intensities with the Lorentz-polarization factor, no thermal factor.

Crystal structure
Lattice parameters (Å, degrees): 8.043 8.043 7.233 90.00 90.00 143.26
Element x y z (fractional)
Dy 0.000 0.000 0.239
Dy 0.000 0.000 0.761
Dy 0.329 0.671 0.247
Dy 0.329 0.671 0.753
Dy 0.671 0.329 0.247
Dy 0.671 0.329 0.753
Mg 0.500 0.500 0.500
Zn 0.157 0.843 0.500
Zn 0.165 0.835 0.000
Zn 0.500 0.500 0.000
Zn 0.835 0.165 0.000
Zn 0.843 0.157 0.500

The 6 most intense peaks (2θ from 10° to 80°), in order of rising 2θ:
- 2θ 24.79, rel. 18
- 2θ 35.23, rel. 100
- 2θ 35.41, rel. 20
- 2θ 50.84, rel. 14
- 2θ 63.11, rel. 14
- 2θ 63.44, rel. 14


Entry 4:
Starting from DFT lattice parameters and positions (GGA-PBE), the powder diffractogram of Dy2Mg3Zn2 was simulated for Cu Kα (weighted mean of Kα1 and Kα2).
Kinematic intensities with the Lorentz-polarization factor, no thermal factor.

Crystal structure
Lattice parameters (Å, degrees): 10.232 4.451 7.175 90.00 97.69 90.00
Element x y z (fractional)
Dy 0.127 0.000 0.357
Dy 0.373 0.500 0.643
Dy 0.627 0.500 0.357
Dy 0.873 0.000 0.643
Mg 0.000 0.500 0.000
Mg 0.185 0.000 0.862
Mg 0.315 0.500 0.138
Mg 0.500 0.000 0.000
Mg 0.685 0.500 0.862
Mg 0.815 0.000 0.138
Zn 0.084 0.500 0.649
Zn 0.416 0.000 0.351
Zn 0.584 0.000 0.649
Zn 0.916 0.500 0.351

The 6 most intense peaks (2θ from 10° to 80°), in order of rising 2θ:
- 2θ 12.45, rel. 100
- 2θ 25.77, rel. 59
- 2θ 32.52, rel. 61
- 2θ 33.28, rel. 38
- 2θ 34.35, rel. 86
- 2θ 40.53, rel. 34


Entry 5:
Starting from DFT lattice parameters and positions (GGA-PBE), the powder diffractogram of Dy3MgZn8 was simulated for Cu Kα (weighted mean of Kα1 and Kα2).
Kinematic intensities with the Lorentz-polarization factor, no thermal factor.

Crystal structure
Lattice parameters (Å, degrees): 9.363 9.363 9.363 33.63 33.63 33.63
Element x y z (fractional)
Dy 0.000 0.000 0.000
Dy 0.125 0.125 0.125
Dy 0.619 0.619 0.619
Mg 0.496 0.496 0.496
Zn 0.059 0.562 0.562
Zn 0.062 0.062 0.558
Zn 0.062 0.558 0.062
Zn 0.311 0.311 0.311
Zn 0.558 0.062 0.062
Zn 0.562 0.059 0.562
Zn 0.562 0.562 0.059
Zn 0.810 0.810 0.810

The 6 most intense peaks (2θ from 10° to 80°), in order of rising 2θ:
- 2θ 33.10, rel. 47
- 2θ 39.02, rel. 100
- 2θ 40.83, rel. 24
- 2θ 59.09, rel. 13
- 2θ 63.10, rel. 29
- 2θ 69.39, rel. 12


Entry 6:
Starting from DFT lattice parameters and positions (GGA-PBE), the powder diffractogram of Dy4MgZn5 was simulated for Cu Kα (weighted mean of Kα1 and Kα2).
Kinematic intensities with the Lorentz-polarization factor, no thermal factor.

Crystal structure
Lattice parameters (Å, degrees): 3.532 3.532 17.472 90.00 90.00 90.00
Element x y z (fractional)
Dy 0.000 0.000 0.103
Dy 0.000 0.000 0.307
Dy 0.000 0.000 0.693
Dy 0.000 0.000 0.897
Mg 0.000 0.000 0.500
Zn 0.500 0.500 0.000
Zn 0.500 0.500 0.205
Zn 0.500 0.500 0.413
Zn 0.500 0.500 0.587
Zn 0.500 0.500 0.795

The 6 most intense peaks (2θ from 10° to 80°), in order of rising 2θ:
- 2θ 25.22, rel. 12
- 2θ 35.96, rel. 54
- 2θ 36.16, rel. 100
- 2θ 51.77, rel. 19
- 2θ 64.77, rel. 36
- 2θ 65.16, rel. 15


Entry 7:
Starting from DFT lattice parameters and positions (GGA-PBE), the powder diffractogram of DyMg4Zn2 was simulated for Cu Kα (weighted mean of Kα1 and Kα2).
Kinematic intensities with the Lorentz-polarization factor, no thermal factor.

Crystal structure
Lattice parameters (Å, degrees): 4.283 16.737 4.231 90.00 90.00 90.00
Element x y z (fractional)
Dy 0.000 0.000 0.000
Dy 0.500 0.500 0.000
Mg 0.000 0.176 0.500
Mg 0.000 0.322 0.000
Mg 0.000 0.678 0.000
Mg 0.000 0.824 0.500
Mg 0.500 0.178 0.000
Mg 0.500 0.324 0.500
Mg 0.500 0.676 0.500
Mg 0.500 0.822 0.000
Zn 0.000 0.428 0.500
Zn 0.000 0.572 0.500
Zn 0.500 0.072 0.500
Zn 0.500 0.928 0.500

The 6 most intense peaks (2θ from 10° to 80°), in order of rising 2θ:
- 2θ 10.57, rel. 100
- 2θ 30.04, rel. 21
- 2θ 30.17, rel. 64
- 2θ 33.84, rel. 68
- 2θ 33.99, rel. 25
- 2θ 38.66, rel. 23


Entry 8:
Starting from DFT lattice parameters and positions (GGA-PBE), the powder diffractogram of Dy3Mg2Zn4 was simulated for Cu Kα (weighted mean of Kα1 and Kα2).
Kinematic intensities with the Lorentz-polarization factor, no thermal factor.

Crystal structure
Lattice parameters (Å, degrees): 4.918 4.918 9.139 90.00 90.00 120.00
Element x y z (fractional)
Dy 0.000 0.000 0.000
Dy 0.333 0.667 0.596
Dy 0.667 0.333 0.404
Mg 0.333 0.667 0.223
Mg 0.667 0.333 0.777
Zn 0.000 0.000 0.344
Zn 0.000 0.000 0.656
Zn 0.333 0.667 0.913
Zn 0.667 0.333 0.087

The 6 most intense peaks (2θ from 10° to 80°), in order of rising 2θ:
- 2θ 23.04, rel. 51
- 2θ 36.25, rel. 81
- 2θ 36.54, rel. 100
- 2θ 52.42, rel. 28
- 2θ 65.59, rel. 28
- 2θ 65.77, rel. 17


Entry 9:
Starting from DFT lattice parameters and positions (GGA-PBE), the powder diffractogram of DyMg6Zr was simulated for Cu Kα (weighted mean of Kα1 and Kα2).
Kinematic intensities with the Lorentz-polarization factor, no thermal factor.

Crystal structure
Lattice parameters (Å, degrees): 4.619 4.619 8.884 90.00 90.00 90.00
Element x y z (fractional)
Dy 0.000 0.000 0.000
Mg 0.000 0.500 0.262
Mg 0.000 0.500 0.738
Mg 0.500 0.000 0.262
Mg 0.500 0.000 0.738
Mg 0.500 0.500 0.000
Mg 0.500 0.500 0.500
Zr 0.000 0.000 0.500

The 6 most intense peaks (2θ from 10° to 80°), in order of rising 2θ:
- 2θ 19.22, rel. 51
- 2θ 19.99, rel. 24
- 2θ 27.87, rel. 41
- 2θ 34.07, rel. 100
- 2θ 39.00, rel. 35
- 2θ 67.51, rel. 26


Entry 10:
Starting from DFT lattice parameters and positions (GGA-PBE), the powder diffractogram of Dy2Mg6Zr was simulated for Cu Kα (weighted mean of Kα1 and Kα2).
Kinematic intensities with the Lorentz-polarization factor, no thermal factor.

Crystal structure
Lattice parameters (Å, degrees): 8.922 8.922 3.208 90.00 90.00 120.00
Element x y z (fractional)
Dy 0.333 0.667 0.000
Dy 0.667 0.333 0.000
Mg 0.000 0.326 0.500
Mg 0.000 0.674 0.500
Mg 0.326 0.000 0.500
Mg 0.326 0.326 0.500
Mg 0.674 0.000 0.500
Mg 0.674 0.674 0.500
Zr 0.000 0.000 0.000

The 6 most intense peaks (2θ from 10° to 80°), in order of rising 2θ:
- 2θ 19.90, rel. 92
- 2θ 34.43, rel. 100
- 2θ 34.83, rel. 65
- 2θ 49.79, rel. 35
- 2θ 62.20, rel. 35
- 2θ 68.97, rel. 17


Entry 11:
Starting from DFT lattice parameters and positions (GGA-PBE), the powder diffractogram of DyMg4Zr2 was simulated for Cu Kα (weighted mean of Kα1 and Kα2).
Kinematic intensities with the Lorentz-polarization factor, no thermal factor.

Crystal structure
Lattice parameters (Å, degrees): 3.155 3.211 16.697 90.00 95.39 90.00
Element x y z (fractional)
Dy 0.000 0.000 0.000
Mg 0.144 0.000 0.286
Mg 0.423 0.500 0.850
Mg 0.577 0.500 0.150
Mg 0.856 0.000 0.714
Zr 0.288 0.500 0.578
Zr 0.712 0.500 0.422

The 6 most intense peaks (2θ from 10° to 80°), in order of rising 2θ:
- 2θ 10.64, rel. 100
- 2θ 28.31, rel. 43
- 2θ 34.12, rel. 65
- 2θ 35.32, rel. 27
- 2θ 40.16, rel. 33
- 2θ 42.40, rel. 29


Entry 12:
Starting from DFT lattice parameters and positions (GGA-PBE), the powder diffractogram of Dy6Mn23 was simulated for Cu Kα (weighted mean of Kα1 and Kα2).
Kinematic intensities with the Lorentz-polarization factor, no thermal factor.

Crystal structure
Lattice parameters (Å, degrees): 8.494 8.494 8.494 60.00 60.00 60.00
Element x y z (fractional)
Dy 0.205 0.205 0.795
Dy 0.205 0.795 0.205
Dy 0.205 0.795 0.795
Dy 0.795 0.205 0.205
Dy 0.795 0.205 0.795
Dy 0.795 0.795 0.205
Mn 0.000 0.000 0.500
Mn 0.000 0.500 0.000
Mn 0.000 0.500 0.500
Mn 0.134 0.622 0.622
Mn 0.177 0.177 0.177
Mn 0.177 0.177 0.468
Mn 0.177 0.468 0.177
Mn 0.378 0.378 0.378
Mn 0.378 0.378 0.866
Mn 0.378 0.866 0.378
Mn 0.468 0.177 0.177
Mn 0.500 0.000 0.000
Mn 0.500 0.000 0.500
Mn 0.500 0.500 0.000
Mn 0.500 0.500 0.500
Mn 0.532 0.823 0.823
Mn 0.622 0.134 0.622
Mn 0.622 0.622 0.134
Mn 0.622 0.622 0.622
Mn 0.823 0.532 0.823
Mn 0.823 0.823 0.532
Mn 0.823 0.823 0.823
Mn 0.866 0.378 0.378

The 6 most intense peaks (2θ from 10° to 80°), in order of rising 2θ:
- 2θ 25.69, rel. 31
- 2θ 32.49, rel. 31
- 2θ 36.65, rel. 36
- 2θ 38.96, rel. 100
- 2θ 42.57, rel. 97
- 2θ 65.99, rel. 28